No. 1
The following is a computed powder diffraction line list of K2Os5. It was derived from DFT lattice parameters and positions (GGA-PBE), using Cu Kα (λ = 1.5418 Å).

The 6 most intense peaks (10 to 90 degrees two-theta), in order of rising 2θ:
d 7.136, I = 18; d 3.691, I = 45; d 2.271, I = 100; d 2.212, I = 88; d 1.585, I = 31; d 1.299, I = 32

Cell and atoms:
```
K2Os5
1.0
2.2706 1.3109 7.1355
-2.2706 1.3109 7.1355
0.0000 -2.6218 7.1355
K Os
2 5
Direct
0.0000 0.0000 0.0000 K
0.4776 0.4776 0.4776 K
0.2384 0.2384 0.2384 Os
0.3554 0.3554 0.3554 Os
0.6073 0.6073 0.6073 Os
0.7391 0.7391 0.7391 Os
0.8584 0.8584 0.8584 Os
```

***

No. 2
The following is a computed powder diffraction line list of Li8Ag3. It was derived from DFT lattice parameters and positions (GGA-PBE), using Cu Kα (λ = 1.5418 Å).

The 6 most intense peaks (10 to 90 degrees two-theta), in order of rising 2θ:
d 3.708, I = 100; d 3.414, I = 36; d 3.371, I = 28; d 2.237, I = 44; d 2.208, I = 42; d 1.845, I = 19

Cell and atoms:
```
Li8Ag3
1.0
3.8277 -2.2055 0.0000
3.8277 2.2055 0.0000
-2.5910 0.0000 10.1120
Li Ag
8 3
Direct
0.0893 0.0893 0.2684 Li
0.1802 0.1802 0.5406 Li
0.2720 0.2720 0.8159 Li
0.3630 0.3630 0.0891 Li
0.6370 0.6370 0.9109 Li
0.7280 0.7280 0.1841 Li
0.8198 0.8198 0.4594 Li
0.9107 0.9107 0.7316 Li
0.0000 0.0000 0.0000 Ag
0.4528 0.4528 0.3592 Ag
0.5472 0.5472 0.6408 Ag
```

***

No. 3
The following is a computed powder diffraction line list of FeAgMoPb. It was derived from DFT lattice parameters and positions (GGA-PBE), using Cu Kα (λ = 1.5418 Å).

The 6 most intense peaks (10 to 90 degrees two-theta), in order of rising 2θ:
d 3.766, I = 15; d 3.262, I = 9; d 2.306, I = 100; d 1.631, I = 17; d 1.332, I = 34; d 1.153, I = 11

Cell and atoms:
```
FeAgMoPb
1.0
6.5232 0.0000 0.0000
0.0000 6.5232 0.0000
0.0000 0.0000 6.5232
Fe Ag Mo Pb
4 4 4 4
Direct
0.0000 0.0000 0.0000 Fe
0.0000 0.5000 0.5000 Fe
0.5000 0.0000 0.5000 Fe
0.5000 0.5000 0.0000 Fe
0.0000 0.0000 0.5000 Ag
0.0000 0.5000 0.0000 Ag
0.5000 0.0000 0.0000 Ag
0.5000 0.5000 0.5000 Ag
0.2500 0.2500 0.2500 Mo
0.2500 0.7500 0.7500 Mo
0.7500 0.2500 0.7500 Mo
0.7500 0.7500 0.2500 Mo
0.2500 0.2500 0.7500 Pb
0.2500 0.7500 0.2500 Pb
0.7500 0.2500 0.2500 Pb
0.7500 0.7500 0.7500 Pb
```